Starting from DFT lattice parameters and positions (GGA+U), the powder X-ray diffraction pattern of CdFe2O4 was simulated for Cu Ka.

Top 10 peaks for 15° ≤ 2θ ≤ 90°, by angle:
Position (°2θ)	I_rel
29.0	64
29.3	92
29.5	31
34.1	55
34.5	100
34.6	52
34.7	56
55.5	36
60.2	39
60.7	38

Atomic structure:
```
data_CdFe2O4
_chemical_formula_sum 'Cd4 Fe8 O16'
_cell_length_a 10.582
_cell_length_b 6.084
_cell_length_c 6.066
_cell_angle_alpha 90.00
_cell_angle_beta 124.29
_cell_angle_gamma 90.00
_space_group_name_H-M_alt 'C 1 2/m 1'
_space_group_IT_number 12
_space_group_name_Hall '-C 2y'
loop_
_atom_site_label
_atom_site_fract_x
_atom_site_fract_y
_atom_site_fract_z
_atom_site_occupancy
Cd1 0.124 0.000 0.377 1
Fe1 0.000 0.500 0.000 1
Fe2 0.000 0.500 0.500 1
Fe3 0.250 0.250 0.000 1
O1 0.021 0.288 0.769 1
O2 0.226 0.500 0.191 1
O3 0.242 0.500 0.789 1
```